Record 1
Starting from a GGA-PBE-relaxed structure, the X-ray powder pattern of Dy3Sb4Au3 was computed for CuKα.

Largest 12 diffraction maxima, in order of rising 2θ, 15° ≤ 2θ ≤ 90°:
21.9 deg, rel. 216, (2 1 1); 25.3 deg, rel. 116, (2 2 0); 33.7 deg, rel. 1000, (3 2 1); 40.6 deg, rel. 491, (4 2 0); 44.7 deg, rel. 134, (4 2 2); 46.6 deg, rel. 104, (5 1 0); 50.3 deg, rel. 172, (5 2 1); 58.8 deg, rel. 102, (6 2 0); 63.5 deg, rel. 108, (6 3 1); 65.0 deg, rel. 118, (4 4 4); 68.0 deg, rel. 108, (6 4 0); 69.5 deg, rel. 118, (5 5 2)

Cell and atoms:
a = 9.9396 Å, b = 9.9396 Å, c = 9.9396 Å
α = 90.00°, β = 90.00°, γ = 90.00°
Space group I-43d (No. 220)
Inequivalent atoms, fractional coordinates:
Dy: 0.0000 0.2500 0.8750
Sb: 0.0894 0.4106 0.5894
Au: 0.0000 0.2500 0.3750

=====

Record 2
Starting from a GGA-PBE-relaxed structure, the X-ray powder pattern of DySc3Au4 was computed for CuKα.

Largest 12 diffraction maxima, in order of rising 2θ, 15° ≤ 2θ ≤ 90°:
25.8 deg, rel. 501, (1 0 4); 36.4 deg, rel. 980, (0 1 8); 37.0 deg, rel. 1000, (1 1 0); 45.7 deg, rel. 117, (0 2 4); 52.9 deg, rel. 335, (2 0 8); 60.2 deg, rel. 107, (2 1 4); 65.2 deg, rel. 147, (1 0 16); 66.4 deg, rel. 340, (1 2 8); 66.7 deg, rel. 178, (3 0 0); 77.4 deg, rel. 91, (0 2 16); 78.9 deg, rel. 113, (2 2 0); 89.1 deg, rel. 133, (2 1 16)

Cell and atoms:
a = 4.8556 Å, b = 4.8556 Å, c = 24.3468 Å
α = 90.00°, β = 90.00°, γ = 120.00°
Space group R-3m (No. 166, hexagonal axes)
Inequivalent atoms, fractional coordinates:
Dy: 0.0000 0.0000 0.0000
Sc: 0.0000 0.0000 0.2480
Sc: 0.0000 0.0000 0.5000
Au: 0.0000 0.0000 0.1279
Au: 0.0000 0.0000 0.3827

=====

Record 3
Starting from a GGA-PBE-relaxed structure, the X-ray powder pattern of DyAuSe2 was computed for CuKα.

Largest 12 diffraction maxima, in order of rising 2θ, 15° ≤ 2θ ≤ 90°:
22.8 deg, rel. 154, (0 0 6); 24.2 deg, rel. 186, (0 1 1); 25.1 deg, rel. 1000, (1 0 2); 28.5 deg, rel. 220, (0 1 4); 39.2 deg, rel. 375, (1 0 8); 42.1 deg, rel. 431, (1 1 0); 45.9 deg, rel. 331, (0 1 10); 48.4 deg, rel. 132, (1 1 6); 49.7 deg, rel. 160, (0 2 2); 64.0 deg, rel. 122, (2 0 10); 67.1 deg, rel. 131, (2 1 2); 79.6 deg, rel. 133, (1 2 10)

Cell and atoms:
a = 4.2929 Å, b = 4.2929 Å, c = 23.3741 Å
α = 90.00°, β = 90.00°, γ = 120.00°
Space group P3_221 (No. 154)
Inequivalent atoms, fractional coordinates:
Dy: 0.0000 0.3291 0.3333
Au: 0.0000 0.3353 0.8333
Se: 0.0042 0.3375 0.9373

=====

Record 4
Starting from a GGA-PBE-relaxed structure, the X-ray powder pattern of Dy3AuSe2 was computed for CuKα.

Largest 12 diffraction maxima, in order of rising 2θ, 15° ≤ 2θ ≤ 90°:
30.5 deg, rel. 550, (0 2 0); 30.7 deg, rel. 1000, (1 0 3); 42.6 deg, rel. 205, (0 0 6); 43.8 deg, rel. 757, (1 2 3); 45.3 deg, rel. 172, (2 0 0); 53.3 deg, rel. 213, (0 2 6); 55.6 deg, rel. 188, (2 2 0); 64.0 deg, rel. 123, (2 0 6); 72.2 deg, rel. 173, (1 4 3); 72.5 deg, rel. 171, (2 2 6); 78.9 deg, rel. 137, (1 2 9); 82.7 deg, rel. 125, (3 2 3)

Cell and atoms:
a = 4.0006 Å, b = 5.8599 Å, c = 12.7269 Å
α = 90.00°, β = 90.00°, γ = 90.00°
Space group Immm (No. 71)
Inequivalent atoms, fractional coordinates:
Dy: 0.0000 0.0000 0.0000
Dy: 0.0000 0.0000 0.3330
Au: 0.0000 0.5000 0.0000
Se: 0.0000 0.5000 0.3332

=====

Record 5
Starting from a GGA-PBE-relaxed structure, the X-ray powder pattern of Dy6AuSe5 was computed for CuKα.

Largest 12 diffraction maxima, in order of rising 2θ, 15° ≤ 2θ ≤ 90°:
15.0 deg, rel. 22, (1 1 0); 16.9 deg, rel. 17, (1 1 -1); 26.6 deg, rel. 31, (2 0 0); 26.6 deg, rel. 78, (1 3 -1); 30.8 deg, rel. 1000, (1 3 1); 44.1 deg, rel. 745, (2 0 2); 52.3 deg, rel. 52, (2 6 0); 54.8 deg, rel. 262, (4 0 0); 64.2 deg, rel. 122, (4 0 -4); 72.9 deg, rel. 336, (5 3 -3); 81.2 deg, rel. 190, (6 0 -2); 81.3 deg, rel. 63, (2 0 -6)

Cell and atoms:
a = 7.1123 Å, b = 12.3115 Å, c = 7.1031 Å
α = 90.00°, β = 109.48°, γ = 90.00°
Space group C2/m (No. 12)
Inequivalent atoms, fractional coordinates:
Dy: 0.2464 0.1654 0.2459
Dy: 0.2469 0.0000 0.7515
Au: 0.0000 0.0000 0.0000
Se: 0.0000 0.1705 0.5000
Se: 0.0000 0.3347 0.0000
Se: 0.0000 0.5000 0.5000

=====

Record 6
Starting from a GGA-PBE-relaxed structure, the X-ray powder pattern of Dy4AuSe5 was computed for CuKα.

Largest 12 diffraction maxima, in order of rising 2θ, 15° ≤ 2θ ≤ 90°:
16.8 deg, rel. 131, (2 0 1); 20.7 deg, rel. 98, (4 0 0); 24.3 deg, rel. 191, (1 1 -1); 30.1 deg, rel. 1000, (1 1 -2); 31.3 deg, rel. 442, (6 0 0); 38.3 deg, rel. 114, (5 1 1); 41.2 deg, rel. 174, (2 0 -4); 43.2 deg, rel. 401, (7 1 -2); 44.8 deg, rel. 466, (0 2 0); 51.3 deg, rel. 99, (8 0 -4); 55.7 deg, rel. 178, (6 2 0); 62.5 deg, rel. 102, (2 2 -4)

Cell and atoms:
a = 17.9149 Å, b = 4.0432 Å, c = 8.7706 Å
α = 90.00°, β = 106.98°, γ = 90.00°
Space group C2/m (No. 12)
Inequivalent atoms, fractional coordinates:
Dy: 0.0032 0.0000 0.2735
Dy: 0.1800 0.5000 0.1102
Au: 0.0000 0.5000 0.0000
Se: 0.0000 0.5000 0.5000
Se: 0.1608 0.0000 0.3151
Se: 0.1608 0.0000 0.8645

=====

Record 7
Starting from a GGA-PBE-relaxed structure, the X-ray powder pattern of SmDy2Au4 was computed for CuKα.

Largest 12 diffraction maxima, in order of rising 2θ, 15° ≤ 2θ ≤ 90°:
15.1 deg, rel. 82, (1 1 0); 25.5 deg, rel. 102, (0 2 1); 30.1 deg, rel. 135, (1 3 0); 35.5 deg, rel. 1000, (2 2 1); 35.9 deg, rel. 276, (0 0 2); 36.9 deg, rel. 207, (0 4 0); 42.1 deg, rel. 105, (3 1 1); 49.6 deg, rel. 83, (4 0 0); 52.4 deg, rel. 153, (0 4 2); 62.7 deg, rel. 82, (4 0 2); 64.2 deg, rel. 195, (2 2 3); 65.6 deg, rel. 112, (2 6 1)

Cell and atoms:
a = 7.3455 Å, b = 9.7322 Å, c = 5.0091 Å
α = 90.00°, β = 90.00°, γ = 90.00°
Space group Cmmm (No. 65)
Inequivalent atoms, fractional coordinates:
Sm: 0.0000 0.0000 0.0000
Dy: 0.0000 0.2865 0.5000
Au: 0.2115 0.0000 0.5000
Au: 0.2500 0.2500 0.0000

=====

Record 8
Starting from a GGA-PBE-relaxed structure, the X-ray powder pattern of Sm4DyAu2 was computed for CuKα.

Largest 12 diffraction maxima, in order of rising 2θ, 15° ≤ 2θ ≤ 90°:
19.3 deg, rel. 277, (1 0 1); 23.5 deg, rel. 142, (1 0 4); 30.8 deg, rel. 106, (1 0 7); 31.0 deg, rel. 112, (0 0 9); 33.2 deg, rel. 1000, (1 1 0); 33.6 deg, rel. 356, (0 1 8); 39.7 deg, rel. 202, (1 0 10); 46.1 deg, rel. 228, (1 1 9); 48.0 deg, rel. 132, (2 0 8); 59.4 deg, rel. 191, (3 0 0); 59.7 deg, rel. 139, (1 2 8); 69.8 deg, rel. 118, (2 2 0)

Cell and atoms:
a = 5.3901 Å, b = 5.3901 Å, c = 25.9597 Å
α = 90.00°, β = 90.00°, γ = 120.00°
Space group R-3m (No. 166, hexagonal axes)
Inequivalent atoms, fractional coordinates:
Sm: 0.0000 0.0000 0.1237
Sm: 0.0000 0.0000 0.2813
Dy: 0.0000 0.0000 0.5000
Au: 0.0000 0.0000 0.3932

=====

Record 9
Starting from a GGA-PBE-relaxed structure, the X-ray powder pattern of Sm2Dy3Au4 was computed for CuKα.

Largest 12 diffraction maxima, in order of rising 2θ, 15° ≤ 2θ ≤ 90°:
29.8 deg, rel. 478, (2 2 1); 30.6 deg, rel. 561, (1 5 1); 32.5 deg, rel. 283, (2 4 0); 34.9 deg, rel. 1000, (2 0 2); 37.3 deg, rel. 294, (0 2 3); 38.7 deg, rel. 375, (0 6 2); 39.8 deg, rel. 287, (2 6 0); 48.0 deg, rel. 162, (3 5 1); 52.0 deg, rel. 205, (4 0 0); 64.4 deg, rel. 231, (2 6 4); 66.6 deg, rel. 160, (4 6 2); 73.8 deg, rel. 162, (4 0 4)

Cell and atoms:
a = 7.0364 Å, b = 17.7898 Å, c = 7.5227 Å
α = 90.00°, β = 90.00°, γ = 90.00°
Space group Cmce (No. 64)
Inequivalent atoms, fractional coordinates:
Sm: 0.0000 0.0960 0.0799
Dy: 0.0000 0.0000 0.5000
Dy: 0.2500 0.2360 0.7500
Au: 0.0000 0.1675 0.4675
Au: 0.2500 0.0674 0.7500

=====

Record 10
Starting from a GGA-PBE-relaxed structure, the X-ray powder pattern of Sm3DyAu4 was computed for CuKα.

Largest 12 diffraction maxima, in order of rising 2θ, 15° ≤ 2θ ≤ 90°:
24.4 deg, rel. 20, (1 0 0); 34.7 deg, rel. 1000, (1 0 4); 34.8 deg, rel. 501, (1 1 0); 49.7 deg, rel. 88, (0 0 8); 50.0 deg, rel. 181, (2 0 0); 56.4 deg, rel. 10, (2 1 0); 62.1 deg, rel. 182, (1 1 8); 62.3 deg, rel. 373, (2 1 4); 73.2 deg, rel. 113, (2 0 8); 73.5 deg, rel. 59, (2 2 0); 83.4 deg, rel. 77, (1 0 12); 83.9 deg, rel. 168, (3 1 0)

Cell and atoms:
a = 3.6464 Å, b = 3.6464 Å, c = 14.6720 Å
α = 90.00°, β = 90.00°, γ = 90.00°
Space group P4/mmm (No. 123)
Inequivalent atoms, fractional coordinates:
Sm: 0.0000 0.0000 0.0000
Sm: 0.0000 0.0000 0.2523
Dy: 0.0000 0.0000 0.5000
Au: 0.5000 0.5000 0.1255
Au: 0.5000 0.5000 0.3826

=====

Record 11
Starting from a GGA-PBE-relaxed structure, the X-ray powder pattern of Dy2SnAu2 was computed for CuKα.

Largest 12 diffraction maxima, in order of rising 2θ, 15° ≤ 2θ ≤ 90°:
15.8 deg, rel. 137, (1 1 0); 32.9 deg, rel. 177, (2 0 2); 34.8 deg, rel. 1000, (2 1 2); 35.7 deg, rel. 417, (3 1 0); 40.9 deg, rel. 97, (3 2 0); 45.6 deg, rel. 76, (4 0 0); 47.9 deg, rel. 96, (3 2 2); 48.8 deg, rel. 114, (0 0 4); 53.4 deg, rel. 80, (4 1 2); 61.9 deg, rel. 151, (3 1 4); 64.7 deg, rel. 92, (5 1 2); 68.3 deg, rel. 140, (5 2 2)

Cell and atoms:
a = 7.9565 Å, b = 7.9565 Å, c = 7.4688 Å
α = 90.00°, β = 90.00°, γ = 90.00°
Space group P4_2/mnm (No. 136)
Inequivalent atoms, fractional coordinates:
Dy: 0.1588 0.1588 0.0000
Dy: 0.1811 0.1811 0.5000
Sn: 0.0000 0.5000 0.2500
Au: 0.1276 0.8724 0.2736

=====

Record 12
Starting from a GGA-PBE-relaxed structure, the X-ray powder pattern of TbDyAu4 was computed for CuKα.

Largest 12 diffraction maxima, in order of rising 2θ, 15° ≤ 2θ ≤ 90°:
33.7 deg, rel. 696, (2 0 0); 38.2 deg, rel. 1000, (1 3 1); 48.5 deg, rel. 255, (2 0 2); 61.2 deg, rel. 64, (0 6 0); 63.3 deg, rel. 461, (3 3 1); 70.9 deg, rel. 42, (4 0 0); 71.0 deg, rel. 41, (0 0 4); 71.8 deg, rel. 160, (2 6 0); 80.9 deg, rel. 59, (4 0 2); 81.0 deg, rel. 59, (2 0 4); 81.7 deg, rel. 115, (2 6 2); 83.5 deg, rel. 110, (3 3 3)

Cell and atoms:
a = 5.3178 Å, b = 9.0851 Å, c = 5.3075 Å
α = 90.00°, β = 90.00°, γ = 90.00°
Space group Cmmm (No. 65)
Inequivalent atoms, fractional coordinates:
Tb: 0.0000 0.0000 0.0000
Dy: 0.0000 0.5000 0.5000
Au: 0.0000 0.1651 0.5000
Au: 0.0000 0.3355 0.0000

=====

Record 13
Starting from a GGA-PBE-relaxed structure, the X-ray powder pattern of Dy8TcAu2 was computed for CuKα.

Largest 12 diffraction maxima, in order of rising 2θ, 15° ≤ 2θ ≤ 90°:
16.8 deg, rel. 222, (0 0 1); 26.7 deg, rel. 385, (2 2 0); 30.9 deg, rel. 1000, (1 3 1); 31.9 deg, rel. 426, (1 1 -2); 33.0 deg, rel. 183, (2 0 -2); 33.4 deg, rel. 624, (3 1 -1); 33.9 deg, rel. 352, (2 0 1); 35.0 deg, rel. 382, (2 4 0); 35.5 deg, rel. 261, (2 2 -2); 36.4 deg, rel. 411, (0 2 2); 36.4 deg, rel. 930, (1 5 -1); 40.5 deg, rel. 197, (3 3 0)

Cell and atoms:
a = 8.2578 Å, b = 13.8364 Å, c = 5.7256 Å
α = 90.00°, β = 112.58°, γ = 90.00°
Space group Cm (No. 8)
Inequivalent atoms, fractional coordinates:
Dy: 0.0000 0.0000 0.0000
Dy: 0.0750 0.3830 0.8116
Dy: 0.1518 0.1160 0.5910
Dy: 0.2225 0.5000 0.3822
Dy: 0.3665 0.2027 0.1927
Tc: 0.3609 0.0000 0.0895
Au: 0.3582 0.2991 0.6869